Record 1
Simulated X-ray diffraction stick pattern
Compound: LiMg5Ga6
Radiation: Cu Ka
Structure: the GGA-PBE geometry in Alexandria
No peak broadening, texture or thermal motion is included.

Largest 8 diffraction maxima, by angle, 10 to 90 degrees two-theta:
h k l  two_theta  intensity
2 0 0  21.7  55
1 3 -1  29.7  51
1 3 1  37.0  100
3 3 -1  37.2  98
2 0 -2  42.3  34
0 6 0  42.7  33
4 0 0  44.2  30
2 6 -2  61.6  21

Structure:
```
data_LiMg5Ga6
_chemical_formula_sum 'Li2 Mg10 Ga12'
_symmetry_space_group_name_H-M 'C 1 2/m 1'
_symmetry_Int_Tables_number 12
_cell_length_a 9.2171
_cell_length_b 12.7054
_cell_length_c 4.2777
_cell_angle_alpha 90.00
_cell_angle_beta 117.29
_cell_angle_gamma 90.00
loop_
_symmetry_equiv_pos_as_xyz
'x,y,z'
'-x,-y,-z'
'-x,y,-z'
'x,-y,z'
'x+1/2,y+1/2,z'
'-x+1/2,-y+1/2,-z'
'-x+1/2,y+1/2,-z'
'x+1/2,-y+1/2,z'
loop_
_atom_site_label
_atom_site_type_symbol
_atom_site_fract_x
_atom_site_fract_y
_atom_site_fract_z
Li1 Li 0.0000 0.0000 0.0000
Mg1 Mg 0.0000 0.1601 0.5000
Mg2 Mg 0.0000 0.3309 0.0000
Mg3 Mg 0.0000 0.5000 0.5000
Ga1 Ga 0.2493 0.1651 0.2489
Ga2 Ga 0.2503 0.0000 0.7508
```



Record 2
Simulated X-ray diffraction stick pattern
Compound: AcIr2PbO8
Radiation: Cu Ka
Structure: the GGA-PBE geometry in Alexandria
No peak broadening, texture or thermal motion is included.

Largest 8 diffraction maxima, by angle, 10 to 90 degrees two-theta:
h k l  two_theta  intensity
0 0 1  13.1  70
0 1 1  21.3  24
0 0 2  26.4  36
1 1 0  29.2  100
2 -1 1  32.1  31
2 -1 2  39.7  78
3 0 0  51.7  25
3 0 2  59.0  25

Structure:
```
data_AcIr2PbO8
_chemical_formula_sum 'Ac1 Ir2 Pb1 O8'
_symmetry_space_group_name_H-M 'P -3'
_symmetry_Int_Tables_number 147
_cell_length_a 6.1215
_cell_length_b 6.1215
_cell_length_c 6.7640
_cell_angle_alpha 90.00
_cell_angle_beta 90.00
_cell_angle_gamma 120.00
loop_
_symmetry_equiv_pos_as_xyz
'x,y,z'
'-x,-y,-z'
'-y,x-y,z'
'y,-x+y,-z'
'-x+y,-x,z'
'x-y,x,-z'
loop_
_atom_site_label
_atom_site_type_symbol
_atom_site_fract_x
_atom_site_fract_y
_atom_site_fract_z
Ac1 Ac 0.0000 0.0000 0.0000
Ir1 Ir 0.3333 0.6667 0.9670
Pb1 Pb 0.0000 0.0000 0.5000
O1 O 0.0787 0.4049 0.1304
O2 O 0.3333 0.6667 0.7029
```



Record 3
Simulated X-ray diffraction stick pattern
Compound: Ca3Zn9Pt2
Radiation: Cu Ka
Structure: the GGA-PBE geometry in Alexandria
No peak broadening, texture or thermal motion is included.

Largest 8 diffraction maxima, by angle, 10 to 90 degrees two-theta:
h k l  two_theta  intensity
0 0 2  13.7  45
0 2 0  19.1  53
1 2 3  35.2  100
1 3 2  38.3  55
1 0 5  40.7  43
2 0 0  41.8  50
1 2 5  45.3  40
1 3 4  45.6  40

Structure:
```
data_Ca3Zn9Pt2
_chemical_formula_sum 'Ca6 Zn18 Pt4'
_symmetry_space_group_name_H-M 'I m m m'
_symmetry_Int_Tables_number 71
_symmetry_space_group_name_Hall '-I 2 2'
_cell_length_a 4.3217
_cell_length_b 9.3036
_cell_length_c 12.9329
_cell_angle_alpha 90.00
_cell_angle_beta 90.00
_cell_angle_gamma 90.00
loop_
_atom_site_label
_atom_site_type_symbol
_atom_site_fract_x
_atom_site_fract_y
_atom_site_fract_z
Ca1 Ca 0.0000 0.0000 0.0000
Ca2 Ca 0.0000 0.0000 0.3106
Zn1 Zn 0.0000 0.2790 0.1248
Zn2 Zn 0.0000 0.3592 0.3294
Zn3 Zn 0.0000 0.5000 0.0000
Pt1 Pt 0.0000 0.2017 0.5000
```



Record 4
Simulated X-ray diffraction stick pattern
Compound: LaDy2Ho
Radiation: Cu Ka
Structure: the GGA-PBE geometry in Alexandria
No peak broadening, texture or thermal motion is included.

Largest 8 diffraction maxima, by angle, 10 to 90 degrees two-theta:
h k l  two_theta  intensity
1 1 1  29.6  40
0 4 0  30.6  51
1 2 1  32.5  100
0 2 2  32.6  51
1 3 1  36.9  22
1 0 3  50.8  25
0 6 2  55.7  33
1 4 3  60.5  30

Structure:
```
data_LaDy2Ho
_chemical_formula_sum 'La2 Dy4 Ho2'
_symmetry_space_group_name_H-M 'P m m n'
_symmetry_Int_Tables_number 59
_cell_length_a 3.6173
_cell_length_b 11.6683
_cell_length_c 6.2170
_cell_angle_alpha 90.00
_cell_angle_beta 90.00
_cell_angle_gamma 90.00
loop_
_symmetry_equiv_pos_as_xyz
'x,y,z'
'-x,-y,-z'
'-x+1/2,-y+1/2,z'
'x+1/2,y+1/2,-z'
'x+1/2,-y,-z'
'-x+1/2,y,z'
'-x,y+1/2,-z'
'x,-y+1/2,z'
loop_
_atom_site_label
_atom_site_type_symbol
_atom_site_fract_x
_atom_site_fract_y
_atom_site_fract_z
La1 La 0.2500 0.2500 0.0837
Dy1 Dy 0.2500 0.0037 0.7477
Ho1 Ho 0.2500 0.7500 0.4207
```